Diffraction record for PtSN4O4. The X-ray powder pattern is calculated, not measured: it uses DFT lattice parameters and positions (GGA-PBE) and Cu Kα (λ = 1.5418 Å).
Intensities are scaled so that the largest is 100.

Crystal structure
a b c (Å): 9.2481 9.2481 9.2481
angles (deg): 138.31 138.31 60.44
Atoms (fractional coordinates):
Pt 0.3750 0.6250 0.7500
Pt 0.6250 0.3750 0.2500
S 0.1250 0.8750 0.2500
S 0.8750 0.1250 0.7500
N 0.1743 0.4243 0.3486
N 0.1743 0.8257 0.7500
N 0.4243 0.1743 0.8486
N 0.4243 0.5757 0.2500
N 0.5757 0.4243 0.7500
N 0.5757 0.8257 0.1514
N 0.8257 0.1743 0.2500
N 0.8257 0.5757 0.6514
O 0.1161 0.1799 0.9362
O 0.1799 0.1161 0.4362
O 0.1799 0.7438 0.0638
O 0.2562 0.8201 0.4362
O 0.7438 0.1799 0.5638
O 0.8201 0.2562 0.9362
O 0.8201 0.8839 0.5638
O 0.8839 0.8201 0.0638

Peak list (10 most intense, 2θ = 10–90°, sorted by position)
Position (°2θ), d [Å], I (rel.)
14.6, 6.087, 34
21.5, 4.141, 14
22.1, 4.022, 100
22.2, 3.996, 35
27.1, 3.291, 17
31.1, 2.875, 14
34.8, 2.577, 16
35.3, 2.540, 16
39.0, 2.312, 17
45.0, 2.013, 34

=====

Diffraction record for La2Ag3Au4. The X-ray powder pattern is calculated, not measured: it uses DFT lattice parameters and positions (GGA-PBE) and Cu Kα (λ = 1.5418 Å).
Intensities are scaled so that the largest is 100.

Crystal structure
a b c (Å): 8.8377 7.9379 5.5350
angles (deg): 79.81 62.13 38.05
Atoms (fractional coordinates):
La 0.1448 0.1448 0.8552
La 0.8552 0.8552 0.1448
Ag 0.0000 0.0000 0.5000
Ag 0.5000 0.5000 0.0000
Ag 0.5000 0.5000 0.5000
Au 0.1673 0.4917 0.5083
Au 0.4917 0.1673 0.8327
Au 0.5083 0.8327 0.1673
Au 0.8327 0.5083 0.4917

Peak list (10 most intense, 2θ = 10–90°, sorted by position)
Position (°2θ), d [Å], I (rel.)
32.1, 2.788, 25
32.9, 2.721, 20
34.4, 2.610, 17
35.5, 2.530, 14
36.3, 2.477, 35
37.2, 2.416, 100
39.3, 2.291, 14
60.6, 1.527, 24
65.9, 1.418, 14
79.3, 1.208, 14

=====

Diffraction record for Ca2AcHg3. The X-ray powder pattern is calculated, not measured: it uses DFT lattice parameters and positions (GGA-PBE) and Cu Kα (λ = 1.5418 Å).
Intensities are scaled so that the largest is 100.

Crystal structure
a b c (Å): 3.9129 3.9129 11.4963
angles (deg): 90.00 90.00 90.00
Atoms (fractional coordinates):
Ca 0.0000 0.0000 0.1595
Ca 0.0000 0.0000 0.8405
Ac 0.0000 0.0000 0.5000
Hg 0.5000 0.5000 0.0000
Hg 0.5000 0.5000 0.3173
Hg 0.5000 0.5000 0.6827

Peak list (10 most intense, 2θ = 10–90°, sorted by position)
Position (°2θ), d [Å], I (rel.)
22.7, 3.913, 13
24.0, 3.704, 12
27.6, 3.235, 12
32.4, 2.767, 54
32.7, 2.738, 100
46.4, 1.956, 20
57.9, 1.592, 40
58.6, 1.575, 17
68.5, 1.369, 11
77.1, 1.237, 9

=====

Diffraction record for Ac3HoEr. The X-ray powder pattern is calculated, not measured: it uses DFT lattice parameters and positions (GGA-PBE) and Cu Kα (λ = 1.5418 Å).
Intensities are scaled so that the largest is 100.

Crystal structure
a b c (Å): 6.4882 9.3578 13.2401
angles (deg): 90.00 90.00 90.00
Atoms (fractional coordinates):
Ac 0.0892 0.1734 0.0739
Ac 0.0892 0.3266 0.4261
Ac 0.1421 0.2500 0.7500
Ac 0.3579 0.7500 0.7500
Ac 0.4108 0.6734 0.4261
Ac 0.4108 0.8266 0.0739
Ac 0.5892 0.1734 0.9261
Ac 0.5892 0.3266 0.5739
Ac 0.6421 0.2500 0.2500
Ac 0.8579 0.7500 0.2500
Ac 0.9108 0.6734 0.5739
Ac 0.9108 0.8266 0.9261
Ho 0.2500 0.0000 0.5562
Ho 0.2500 0.5000 0.9438
Ho 0.7500 0.0000 0.4438
Ho 0.7500 0.5000 0.0562
Er 0.2500 0.0000 0.3064
Er 0.2500 0.5000 0.1936
Er 0.7500 0.0000 0.6936
Er 0.7500 0.5000 0.8064

Peak list (10 most intense, 2θ = 10–90°, sorted by position)
Position (°2θ), d [Å], I (rel.)
24.4, 3.648, 33
26.2, 3.400, 100
27.1, 3.292, 26
29.1, 3.065, 57
29.4, 3.036, 63
29.9, 2.986, 28
31.1, 2.877, 84
31.8, 2.812, 52
46.8, 1.942, 30
59.0, 1.566, 28

=====

Diffraction record for MoPOsN. The X-ray powder pattern is calculated, not measured: it uses DFT lattice parameters and positions (GGA-PBE) and Cu Kα (λ = 1.5418 Å).
Intensities are scaled so that the largest is 100.

Crystal structure
a b c (Å): 3.0377 3.9322 4.4419
angles (deg): 90.00 106.13 90.00
Atoms (fractional coordinates):
Mo 0.0000 0.0000 0.0000
P 0.5597 0.5000 0.1461
Os 0.2238 0.5000 0.5574
N 0.3369 0.0000 0.6641

Peak list (10 most intense, 2θ = 10–90°, sorted by position)
Position (°2θ), d [Å], I (rel.)
22.6, 3.932, 19
30.6, 2.918, 35
30.9, 2.892, 100
38.4, 2.343, 31
39.5, 2.280, 52
42.1, 2.147, 22
42.4, 2.133, 26
45.1, 2.009, 24
46.2, 1.966, 29
48.3, 1.884, 24

=====

Diffraction record for La2Ga12Ni. The X-ray powder pattern is calculated, not measured: it uses DFT lattice parameters and positions (GGA-PBE) and Cu Kα (λ = 1.5418 Å).
Intensities are scaled so that the largest is 100.

Crystal structure
a b c (Å): 6.1385 6.1385 15.5354
angles (deg): 90.00 90.00 90.00
Atoms (fractional coordinates):
La 0.2500 0.7500 0.2420
La 0.2500 0.7500 0.7580
La 0.7500 0.2500 0.2420
La 0.7500 0.2500 0.7580
Ga 0.0003 0.9997 0.0830
Ga 0.9997 0.0003 0.9170
Ga 0.9997 0.4997 0.0830
Ga 0.0003 0.5003 0.9170
Ga 0.0781 0.5781 0.4306
Ga 0.0781 0.9219 0.5694
Ga 0.2500 0.2500 0.1820
Ga 0.2500 0.2500 0.3430
Ga 0.2500 0.2500 0.6570
Ga 0.2500 0.2500 0.8180
Ga 0.4219 0.5781 0.5694
Ga 0.4219 0.9219 0.4306
Ga 0.5003 0.0003 0.0830
Ga 0.4997 0.9997 0.9170
Ga 0.4997 0.5003 0.0830
Ga 0.5003 0.4997 0.9170
Ga 0.5781 0.0781 0.5694
Ga 0.5781 0.4219 0.4306
Ga 0.7500 0.7500 0.1820
Ga 0.7500 0.7500 0.3430
Ga 0.7500 0.7500 0.6570
Ga 0.7500 0.7500 0.8180
Ga 0.9219 0.0781 0.4306
Ga 0.9219 0.4219 0.5694
Ni 0.2500 0.7500 0.0000
Ni 0.7500 0.2500 0.0000

Peak list (10 most intense, 2θ = 10–90°, sorted by position)
Position (°2θ), d [Å], I (rel.)
30.9, 2.894, 54
31.3, 2.855, 100
34.6, 2.589, 23
37.3, 2.408, 24
40.6, 2.224, 35
41.3, 2.184, 18
41.6, 2.170, 63
45.9, 1.979, 26
52.7, 1.736, 28
68.3, 1.373, 23